V4HgS8: theoretical powder diffractogram (a wavelength of 1.5418 Å), based on DFT lattice parameters and positions (GGA-PBE).
No peak broadening, texture or thermal motion is included.

Most intense lines, 5 to 70 degrees two-theta, in order of rising 2θ:
11.38 deg, d 7.777, rel. 24
16.51 deg, d 5.369, rel. 67
17.79 deg, d 4.987, rel. 56
22.18 deg, d 4.008, rel. 34
24.99 deg, d 3.563, rel. 25
30.32 deg, d 2.947, rel. 32
36.02 deg, d 2.494, rel. 100
36.47 deg, d 2.464, rel. 20
45.25 deg, d 2.004, rel. 37
57.90 deg, d 1.593, rel. 26

Atomic structure:
Lattice parameters (Å, degrees): 8.6025 8.6025 8.6025 43.46 43.46 43.46
Atoms (fractional coordinates):
V 0.0000 0.0000 0.0000
V 0.0000 0.5000 0.5000
V 0.5000 0.0000 0.5000
V 0.5000 0.5000 0.0000
Hg 0.5000 0.5000 0.5000
S 0.2302 0.2302 0.7285
S 0.2302 0.7285 0.2302
S 0.2699 0.2699 0.2699
S 0.2715 0.7698 0.7698
S 0.7285 0.2302 0.2302
S 0.7301 0.7301 0.7301
S 0.7698 0.2715 0.7698
S 0.7698 0.7698 0.2715